Structure and computed powder diffraction line list of Li3V4P6O24 (DFT lattice parameters and positions (GGA+U); Cu Kα (weighted mean of Kα1 and Kα2)).
Lines closer than 0.1° are merged.

Atomic structure:
a = 8.590 Å, b = 8.641 Å, c = 8.657 Å
α = 90.45°, β = 119.08°, γ = 119.57°
Space group P1 (No. 1)
Asymmetric unit:
1 Li 0.000 0.000 0.000
2 Li 0.016 0.326 0.495
3 Li 0.261 0.860 0.783
4 V 0.419 0.119 0.370
5 V 0.420 0.611 0.869
6 V 0.829 0.814 0.513
7 V 0.844 0.331 0.022
8 P 0.346 0.212 0.699
9 P 0.346 0.438 0.200
10 P 0.625 0.933 0.692
11 P 0.627 0.011 0.196
12 P 0.901 0.494 0.682
13 P 0.908 0.720 0.184
14 O 0.101 0.512 0.710
15 O 0.112 0.906 0.223
16 O 0.137 0.417 0.159
17 O 0.155 0.020 0.666
18 O 0.298 0.240 0.200
19 O 0.298 0.363 0.695
20 O 0.383 0.203 0.543
21 O 0.387 0.486 0.050
22 O 0.448 0.753 0.689
23 O 0.459 0.033 0.199
24 O 0.490 0.855 0.010
25 O 0.515 0.980 0.520
26 O 0.536 0.590 0.393
27 O 0.544 0.251 0.888
28 O 0.711 0.344 0.489
29 O 0.727 0.698 0.995
30 O 0.755 0.976 0.375
31 O 0.767 0.091 0.882
32 O 0.798 0.909 0.695
33 O 0.803 0.203 0.208
34 O 0.872 0.451 0.841
35 O 0.873 0.739 0.342
36 O 0.932 0.556 0.184
37 O 0.942 0.691 0.682

Principal peaks in the range 2θ = 10–80°, sorted by position:
14.37°, rel. 47, hkl 1 0 0
20.30°, rel. 52, hkl 0 1 1
20.53°, rel. 76, hkl 1 0 -2
23.88°, rel. 34, hkl 1 1 0
24.05°, rel. 100, hkl 1 -2 1
24.13°, rel. 37, hkl 1 1 -2
24.32°, rel. 39, hkl -2 1 2
28.93°, rel. 29, hkl 2 0 0
29.09°, rel. 27, hkl 0 2 -2
29.33°, rel. 27, hkl -2 2 2